For Ba2UP2O10, the GGA-PBE geometry in Alexandria gives the theoretical powder X-ray diffraction pattern in this record (Cu Kα, 1.54184 Å).
Neutral-atom scattering factors, no anomalous dispersion.

Cell and atoms:
```
data_Ba2UP2O10
_cell_length_a 6.8300
_cell_length_b 8.8206
_cell_length_c 9.2955
_cell_angle_alpha 106.37
_cell_angle_beta 94.85
_cell_angle_gamma 109.33
_space_group_name_H-M_alt 'P -1'
_space_group_IT_number 2
loop_
_space_group_symop_operation_xyz
'x,y,z'
'-x,-y,-z'
loop_
_atom_site_label
_atom_site_type_symbol
_atom_site_fract_x
_atom_site_fract_y
_atom_site_fract_z
_atom_site_occupancy
Ba1 Ba 0.1486 0.0463 0.2586 1
Ba2 Ba 0.1802 0.5770 0.8095 1
U1 U 0.5002 0.2527 0.7123 1
P1 P 0.2173 0.8231 0.5314 1
P2 P 0.2341 0.3094 0.0397 1
O1 O 0.0069 0.1953 0.0382 1
O2 O 0.0763 0.7270 0.6206 1
O3 O 0.1452 0.7376 0.3538 1
O4 O 0.2099 0.0077 0.5767 1
O5 O 0.2544 0.5019 0.1064 1
O6 O 0.2631 0.2866 0.8695 1
O7 O 0.3983 0.3819 0.6265 1
O8 O 0.3988 0.2721 0.1305 1
O9 O 0.4197 0.8634 0.1727 1
O10 O 0.4519 0.8384 0.5585 1
```

Main lines, in order of rising 2θ (5 to 70 degrees two-theta):
2θ = 12.42°, 7.128 Å, intensity 57, hkl 0 1 -1; 2θ = 20.34°, 4.367 Å, intensity 100, hkl 1 1 -1; 2θ = 21.75°, 4.085 Å, intensity 50, hkl 1 -2 0; 2θ = 26.12°, 3.411 Å, intensity 66, hkl 1 1 1; 2θ = 26.44°, 3.370 Å, intensity 43, hkl 1 -2 2; 2θ = 27.48°, 3.246 Å, intensity 55, hkl -2 1 1

---

For PrTa4S8, the GGA-PBE geometry in Alexandria gives the theoretical powder X-ray diffraction pattern in this record (Cu Kα, 1.54184 Å).
Neutral-atom scattering factors, no anomalous dispersion.

Cell and atoms:
```
data_PrTa4S8
_cell_length_a 6.8206
_cell_length_b 6.8206
_cell_length_c 20.8233
_cell_angle_alpha 90.00
_cell_angle_beta 90.00
_cell_angle_gamma 120.00
_space_group_name_H-M_alt 'R -3 m'
_space_group_IT_number 166
_space_group_name_Hall '-R 3 2"'
loop_
_atom_site_label
_atom_site_type_symbol
_atom_site_fract_x
_atom_site_fract_y
_atom_site_fract_z
_atom_site_occupancy
Pr1 Pr 0.0000 0.0000 0.0000 1
Ta1 Ta 0.0000 0.0000 0.5000 1
Ta2 Ta 0.0000 0.5000 0.5000 1
S1 S 0.0000 0.0000 0.2399 1
S2 S 0.0096 0.5048 0.2410 1
```

Main lines, in order of rising 2θ (5 to 70 degrees two-theta):
2θ = 12.75°, 6.941 Å, intensity 100, hkl 0 0 3; 2θ = 30.57°, 2.924 Å, intensity 31, hkl 0 2 1; 2θ = 31.49°, 2.841 Å, intensity 32, hkl 2 0 2; 2θ = 34.93°, 2.569 Å, intensity 87, hkl 0 2 4; 2θ = 46.51°, 1.953 Å, intensity 37, hkl 2 0 8; 2θ = 53.76°, 1.705 Å, intensity 25, hkl 2 2 0

---

For Sr8GaHg2, the GGA-PBE geometry in Alexandria gives the theoretical powder X-ray diffraction pattern in this record (Cu Kα, 1.54184 Å).
Neutral-atom scattering factors, no anomalous dispersion.

Cell and atoms:
```
data_Sr8GaHg2
_cell_length_a 9.8939
_cell_length_b 14.9589
_cell_length_c 6.9226
_cell_angle_alpha 90.00
_cell_angle_beta 110.65
_cell_angle_gamma 90.00
_space_group_name_H-M_alt 'C 1 m 1'
_space_group_IT_number 8
loop_
_space_group_symop_operation_xyz
'x,y,z'
'x,-y,z'
'x+1/2,y+1/2,z'
'x+1/2,-y+1/2,z'
loop_
_atom_site_label
_atom_site_type_symbol
_atom_site_fract_x
_atom_site_fract_y
_atom_site_fract_z
_atom_site_occupancy
Sr1 Sr 0.0000 0.0000 0.0000 1
Sr2 Sr 0.0611 0.3704 0.8068 1
Sr3 Sr 0.1422 0.1286 0.5981 1
Sr4 Sr 0.2053 0.5000 0.3740 1
Sr5 Sr 0.3569 0.2049 0.1923 1
Ga1 Ga 0.3557 0.0000 0.9978 1
Hg1 Hg 0.3457 0.3118 0.6841 1
```

Main lines, in order of rising 2θ (5 to 70 degrees two-theta):
2θ = 13.67°, 6.478 Å, intensity 61, hkl 0 0 1; 2θ = 26.37°, 3.380 Å, intensity 100, hkl 1 3 1; 2θ = 27.52°, 3.241 Å, intensity 65, hkl 2 0 -2; 2θ = 30.04°, 2.975 Å, intensity 83, hkl 0 2 2; 2θ = 32.77°, 2.733 Å, intensity 55, hkl 3 3 -1; 2θ = 32.96°, 2.718 Å, intensity 76, hkl 1 5 -1

---

For K10I4O3, the GGA-PBE geometry in Alexandria gives the theoretical powder X-ray diffraction pattern in this record (Cu Kα, 1.54184 Å).
Neutral-atom scattering factors, no anomalous dispersion.

Cell and atoms:
```
data_K10I4O3
_cell_length_a 5.3659
_cell_length_b 5.3659
_cell_length_c 39.2821
_cell_angle_alpha 90.00
_cell_angle_beta 90.00
_cell_angle_gamma 90.00
_space_group_name_H-M_alt 'I 4/m m m'
_space_group_IT_number 139
_space_group_name_Hall '-I 4 2'
loop_
_atom_site_label
_atom_site_type_symbol
_atom_site_fract_x
_atom_site_fract_y
_atom_site_fract_z
_atom_site_occupancy
K1 K 0.0000 0.0000 0.0688 1
K2 K 0.0000 0.0000 0.2036 1
K3 K 0.0000 0.5000 0.0000 1
K4 K 0.0000 0.5000 0.1372 1
I1 I 0.0000 0.0000 0.2967 1
I2 I 0.0000 0.0000 0.4317 1
O1 O 0.0000 0.0000 0.0000 1
O2 O 0.0000 0.0000 0.1377 1
```

Main lines, in order of rising 2θ (5 to 70 degrees two-theta):
2θ = 22.93°, 3.878 Å, intensity 49, hkl 1 0 7; 2θ = 23.45°, 3.794 Å, intensity 39, hkl 1 1 0; 2θ = 27.17°, 3.282 Å, intensity 31, hkl 1 1 6; 2θ = 29.76°, 3.002 Å, intensity 100, hkl 1 1 8; 2θ = 33.40°, 2.683 Å, intensity 65, hkl 2 0 0; 2θ = 46.85°, 1.939 Å, intensity 31, hkl 2 0 14

---

For Dy5Cd2O2, the GGA-PBE geometry in Alexandria gives the theoretical powder X-ray diffraction pattern in this record (Cu Kα, 1.54184 Å).
Neutral-atom scattering factors, no anomalous dispersion.

Cell and atoms:
```
data_Dy5Cd2O2
_cell_length_a 6.8615
_cell_length_b 17.6702
_cell_length_c 6.9911
_cell_angle_alpha 90.00
_cell_angle_beta 90.00
_cell_angle_gamma 90.00
_space_group_name_H-M_alt 'I m m a'
_space_group_IT_number 74
_space_group_name_Hall '-I 2b 2'
loop_
_atom_site_label
_atom_site_type_symbol
_atom_site_fract_x
_atom_site_fract_y
_atom_site_fract_z
_atom_site_occupancy
Dy1 Dy 0.0000 0.1359 0.0758 1
Dy2 Dy 0.2500 0.0172 0.7500 1
Dy3 Dy 0.2500 0.2500 0.7500 1
Cd1 Cd 0.0000 0.1273 0.5071 1
O1 O 0.0000 0.0000 0.0000 1
O2 O 0.0000 0.2500 0.9612 1
```

Main lines, in order of rising 2θ (5 to 70 degrees two-theta):
2θ = 28.30°, 3.154 Å, intensity 34, hkl 0 5 1; 2θ = 32.67°, 2.741 Å, intensity 77, hkl 0 4 2; 2θ = 33.06°, 2.710 Å, intensity 100, hkl 2 4 0; 2θ = 36.70°, 2.448 Å, intensity 71, hkl 2 0 2; 2θ = 40.86°, 2.209 Å, intensity 26, hkl 0 8 0; 2θ = 56.08°, 1.640 Å, intensity 29, hkl 2 8 2

---

For Tb4NdSmHo2, the GGA-PBE geometry in Alexandria gives the theoretical powder X-ray diffraction pattern in this record (Cu Kα, 1.54184 Å).
Neutral-atom scattering factors, no anomalous dispersion.

Cell and atoms:
```
data_Tb4NdSmHo2
_cell_length_a 5.0502
_cell_length_b 5.0625
_cell_length_c 10.0969
_cell_angle_alpha 90.00
_cell_angle_beta 90.05
_cell_angle_gamma 90.00
_space_group_name_H-M_alt 'P 1 2/m 1'
_space_group_IT_number 10
loop_
_space_group_symop_operation_xyz
'x,y,z'
'-x,-y,-z'
'-x,y,-z'
'x,-y,z'
loop_
_atom_site_label
_atom_site_type_symbol
_atom_site_fract_x
_atom_site_fract_y
_atom_site_fract_z
_atom_site_occupancy
Tb1 Tb 0.0000 0.0000 0.2494 1
Tb2 Tb 0.4998 0.5000 0.2488 1
Nd1 Nd 0.0000 0.5000 0.5000 1
Sm1 Sm 0.5000 0.0000 0.0000 1
Ho1 Ho 0.0000 0.5000 0.0000 1
Ho2 Ho 0.5000 0.0000 0.5000 1
```

Main lines, in order of rising 2θ (5 to 70 degrees two-theta):
2θ = 30.64°, 2.918 Å, intensity 100, hkl 1 1 2; 2θ = 35.51°, 2.528 Å, intensity 34, hkl 2 0 0; 2θ = 35.57°, 2.524 Å, intensity 17, hkl 0 0 4; 2θ = 51.12°, 1.787 Å, intensity 36, hkl 2 2 0; 2θ = 60.70°, 1.526 Å, intensity 14, hkl 1 3 2; 2θ = 60.83°, 1.523 Å, intensity 29, hkl 3 1 2

---

For Pr6Nd3Tm, the GGA-PBE geometry in Alexandria gives the theoretical powder X-ray diffraction pattern in this record (Cu Kα, 1.54184 Å).
Neutral-atom scattering factors, no anomalous dispersion.

Cell and atoms:
```
data_Pr6Nd3Tm
_cell_length_a 11.5793
_cell_length_b 6.9674
_cell_length_c 9.2469
_cell_angle_alpha 90.00
_cell_angle_beta 106.83
_cell_angle_gamma 90.00
_space_group_name_H-M_alt 'C 1 2/m 1'
_space_group_IT_number 12
loop_
_space_group_symop_operation_xyz
'x,y,z'
'-x,-y,-z'
'-x,y,-z'
'x,-y,z'
'x+1/2,y+1/2,z'
'-x+1/2,-y+1/2,-z'
'-x+1/2,y+1/2,-z'
'x+1/2,-y+1/2,z'
loop_
_atom_site_label
_atom_site_type_symbol
_atom_site_fract_x
_atom_site_fract_y
_atom_site_fract_z
_atom_site_occupancy
Pr1 Pr 0.1242 0.0000 0.4175 1
Pr2 Pr 0.1906 0.2623 0.8016 1
Nd1 Nd 0.0000 0.5000 0.5000 1
Nd2 Nd 0.0747 0.5000 0.1668 1
Tm1 Tm 0.0000 0.0000 0.0000 1
```

Main lines, in order of rising 2θ (5 to 70 degrees two-theta):
2θ = 30.30°, 2.950 Å, intensity 100, hkl 2 2 0; 2θ = 30.43°, 2.937 Å, intensity 81, hkl 2 2 -1; 2θ = 30.90°, 2.894 Å, intensity 46, hkl 4 0 -1; 2θ = 31.75°, 2.818 Å, intensity 47, hkl 1 1 -3; 2θ = 32.74°, 2.735 Å, intensity 65, hkl 0 2 2; 2θ = 54.74°, 1.677 Å, intensity 42, hkl 6 2 -2

---

For K3TlCl6, the GGA-PBE geometry in Alexandria gives the theoretical powder X-ray diffraction pattern in this record (Cu Kα, 1.54184 Å).
Neutral-atom scattering factors, no anomalous dispersion.

Cell and atoms:
```
data_K3TlCl6
_cell_length_a 7.5090
_cell_length_b 7.9766
_cell_length_c 12.9557
_cell_angle_alpha 90.00
_cell_angle_beta 124.45
_cell_angle_gamma 90.00
_space_group_name_H-M_alt 'P 1 21/c 1'
_space_group_IT_number 14
loop_
_space_group_symop_operation_xyz
'x,y,z'
'-x,-y,-z'
'-x,y+1/2,-z+1/2'
'x,-y+1/2,z+1/2'
loop_
_atom_site_label
_atom_site_type_symbol
_atom_site_fract_x
_atom_site_fract_y
_atom_site_fract_z
_atom_site_occupancy
K1 K 0.0000 0.0000 0.0000 1
K2 K 0.2151 0.0750 0.7436 1
Tl1 Tl 0.5000 0.0000 0.5000 1
Cl1 Cl 0.1622 0.1789 0.4438 1
Cl2 Cl 0.2546 0.7249 0.4228 1
Cl3 Cl 0.4046 0.0564 0.2737 1
```

Main lines, in order of rising 2θ (5 to 70 degrees two-theta):
2θ = 13.86°, 6.392 Å, intensity 100, hkl 0 1 1; 2θ = 14.53°, 6.095 Å, intensity 48, hkl 1 0 -2; 2θ = 16.21°, 5.467 Å, intensity 81, hkl 1 1 -1; 2θ = 23.14°, 3.844 Å, intensity 59, hkl 1 1 1; 2θ = 23.43°, 3.797 Å, intensity 56, hkl 1 1 -3; 2θ = 32.76°, 2.734 Å, intensity 46, hkl 2 2 -2